Record 1
Starting from a crystal structure in Alexandria, relaxed with PBE, the X-ray powder pattern of Tb3Ce2Bi3 was simulated for Cu Kα X-rays.

Crystal structure
a = 9.3928 Å, b = 9.3928 Å, c = 6.3375 Å
α = 90.00°, β = 90.00°, γ = 120.00°
Space group P6_3/mcm (No. 193)
Symmetry-distinct sites (fractional):
Tb1 0.0000 0.2488 0.2500 (multiplicity 6)
Ce1 0.3333 0.6667 0.0000 (multiplicity 4)
Bi1 0.0000 0.3816 0.7500 (multiplicity 6)

The 8 most intense peaks (5 to 70 degrees two-theta), sorted by position:
Position (°2θ), Rel. int.
28.16, 26
29.04, 21
32.36, 100
33.04, 63
34.13, 76
42.53, 18
48.24, 20
52.56, 26

Record 2
Starting from a crystal structure in Alexandria, relaxed with PBE, the X-ray powder pattern of Tb3CeBi4 was simulated for Cu Kα X-rays.

Crystal structure
a = 6.3936 Å, b = 6.3936 Å, c = 6.3936 Å
α = 90.00°, β = 90.00°, γ = 90.00°
Space group Pm-3m (No. 221)
Symmetry-distinct sites (fractional):
Tb1 0.0000 0.0000 0.5000 (multiplicity 3)
Ce1 0.5000 0.5000 0.5000 (multiplicity 1)
Bi1 0.0000 0.0000 0.0000 (multiplicity 1)
Bi2 0.0000 0.5000 0.5000 (multiplicity 3)

The 8 most intense peaks (5 to 70 degrees two-theta), sorted by position:
Position (°2θ), Rel. int.
24.11, 4
27.91, 100
39.88, 78
47.15, 2
49.38, 29
57.67, 14
63.42, 1
65.26, 38

Record 3
Starting from a crystal structure in Alexandria, relaxed with PBE, the X-ray powder pattern of Ce5BiTe4 was simulated for Cu Kα X-rays.

Crystal structure
a = 4.5123 Å, b = 4.5123 Å, c = 31.8854 Å
α = 90.00°, β = 90.00°, γ = 90.00°
Space group I4/mmm (No. 139)
Symmetry-distinct sites (fractional):
Ce1 0.0000 0.0000 0.0000 (multiplicity 2)
Ce2 0.0000 0.0000 0.2000 (multiplicity 4)
Ce3 0.0000 0.0000 0.3988 (multiplicity 4)
Bi1 0.0000 0.0000 0.5000 (multiplicity 2)
Te1 0.0000 0.0000 0.1002 (multiplicity 4)
Te2 0.0000 0.0000 0.2994 (multiplicity 4)

The 8 most intense peaks (5 to 70 degrees two-theta), sorted by position:
Position (°2θ), Rel. int.
5.54, 3
19.87, 1
27.97, 100
39.97, 77
49.49, 28
57.81, 13
65.41, 24
65.44, 12

Record 4
Starting from a crystal structure in Alexandria, relaxed with PBE, the X-ray powder pattern of Ce3BiTe3 was simulated for Cu Kα X-rays.

Crystal structure
a = 6.3611 Å, b = 6.3611 Å, c = 6.3611 Å
α = 90.00°, β = 90.00°, γ = 90.00°
Space group Pm-3m (No. 221)
Symmetry-distinct sites (fractional):
Ce1 0.0000 0.0000 0.5000 (multiplicity 3)
Bi1 0.0000 0.0000 0.0000 (multiplicity 1)
Te1 0.0000 0.5000 0.5000 (multiplicity 3)

The 8 most intense peaks (5 to 70 degrees two-theta), sorted by position:
Position (°2θ), Rel. int.
13.92, 25
28.05, 100
31.45, 15
40.09, 77
42.64, 8
49.65, 28
57.99, 13
65.64, 36